# SmHoIn2
Computed XRD peak list, Cu Kα (λ = 1.5418 Å). Input: DFT lattice parameters and positions (PBE).
No peak broadening, texture or thermal motion is included.

Structural model:
```
data_SmHoIn2
_symmetry_space_group_name_H-M 'F m -3 m'
_symmetry_Int_Tables_number 225
_symmetry_space_group_name_Hall '-F 4 2 3'
_cell_length_a 7.5797
_cell_length_b 7.5797
_cell_length_c 7.5797
_cell_angle_alpha 90.00
_cell_angle_beta 90.00
_cell_angle_gamma 90.00
loop_
_atom_site_label
_atom_site_fract_x
_atom_site_fract_y
_atom_site_fract_z
Sm1 0.0000 0.0000 0.0000
Ho1 0.0000 0.0000 0.5000
In1 0.2500 0.2500 0.2500
```

Principal peaks in the range 2θ = 10–90°, low angle first:
2θ (°), d [Å], I/Imax, h k l
23.47, 3.790, 2, 2 0 0
33.44, 2.680, 100, 2 2 0
41.26, 2.188, 1, 2 2 2
48.01, 1.895, 18, 4 0 0
54.11, 1.695, 1, 4 2 0
59.77, 1.547, 37, 4 2 2
70.25, 1.340, 11, 4 4 0
75.22, 1.263, 1, 6 0 0
80.07, 1.198, 16, 6 2 0
89.60, 1.094, 4, 4 4 4